Diffraction record for Tm4CdTeC2. The powder XRD pattern is theoretical, not measured: it uses a DFT-relaxed cell (PBE, OQMD) and Cu Ka.

Structural model:
Cell lengths 3.630, 3.630, 15.114 Å; angles 90.00, 90.00, 120.00 degrees
Atoms (fractional coordinates):
1 Tm 0.000 0.000 0.151
2 Tm 0.000 0.000 0.849
3 Tm 0.333 0.667 0.324
4 Tm 0.333 0.667 0.676
5 Cd 0.000 0.000 0.500
6 Te 0.333 0.667 0.000
7 C 0.667 0.333 0.236
8 C 0.667 0.333 0.764

Top 10 peaks for 10° ≤ 2θ ≤ 90°, in order of rising 2θ:
d_spacing, 2θ (°), I (rel.), (hkl)
3.143, 28.4, 24, 1 0 0
2.667, 33.6, 100, 1 0 3
2.519, 35.6, 16, 0 0 6
1.966, 46.2, 13, 1 0 6
1.815, 50.3, 23, 1 1 0
1.500, 61.8, 17, 2 0 3
1.481, 62.7, 12, 1 0 9
1.472, 63.1, 18, 1 1 6
1.156, 83.6, 15, 2 1 3
1.148, 84.4, 5, 2 0 9